# K3AlCl6
Computed XRD peak list, Cu Kα (weighted mean of Kα1 and Kα2). Input: DFT lattice parameters and positions (GGA-PBE).

a = 10.6078 Å, b = 10.6078 Å, c = 10.6078 Å
α = 90.00°, β = 90.00°, γ = 90.00°
Space group Fm-3m (No. 225)
Symmetry-distinct sites (fractional):
K 0.0000 0.0000 0.0000 (multiplicity 4)
K 0.2500 0.2500 0.2500 (multiplicity 8)
Al 0.0000 0.0000 0.5000 (multiplicity 4)
Cl 0.0000 0.0000 0.2794 (multiplicity 24)

Largest 10 diffraction maxima, by angle, 2θ = 10–90°:
2θ (°), d_spacing, I_rel
16.7, 5.304, 23
23.7, 3.750, 33
29.2, 3.062, 80
33.8, 2.652, 100
36.9, 2.434, 14
44.4, 2.041, 14
48.5, 1.875, 56
57.6, 1.599, 18
60.5, 1.531, 16
81.1, 1.186, 16